For Ni6PtRh2, a cell relaxed with PBE gives the calculated powder X-ray diffraction pattern in this record (copper Kα).
Lines closer than 0.1° are merged.

Cell and atoms:
a b c (Å): 4.4732 4.4732 7.7700
angles (deg): 106.14 106.14 48.71
Atoms (fractional coordinates):
Ni 0.0045 0.0045 0.3419
Ni 0.3365 0.3365 0.1180
Ni 0.3384 0.3384 0.4476
Ni 0.6616 0.6616 0.5524
Ni 0.6635 0.6635 0.8820
Ni 0.9955 0.9955 0.6581
Pt 0.0000 0.0000 0.0000
Rh 0.3241 0.3241 0.7659
Rh 0.6759 0.6759 0.2341

The 10 most intense peaks (2θ = 15–90°), sorted by position:
2θ (°)	I (rel.)
22.4	67
30.8	77
42.7	1000
49.4	318
50.2	155
72.5	94
73.1	188
87.9	173
88.0	54
89.1	115